# 1
Structure and calculated X-ray diffraction stick pattern of CaNi2S5 (a cell relaxed with PBE; CuKα).

The 10 most intense peaks (2θ from 10° to 90°), sorted by position:
2θ (°)	d (Å)	I/Imax	h k l
12.95	6.838	100	0 0 1
18.75	4.733	50	0 2 1
23.65	3.762	28	1 1 0
26.06	3.419	17	0 0 2
26.17	3.405	45	1 0 1
27.05	3.296	20	1 1 1
37.48	2.400	47	1 2 2
46.04	1.971	18	1 0 3
46.23	1.964	23	2 0 0
56.01	1.642	30	1 7 1

```
data_CaNi2S5
_symmetry_space_group_name_H-M 'P m m n'
_symmetry_Int_Tables_number 59
_cell_length_a 3.9271
_cell_length_b 13.1146
_cell_length_c 6.8379
_cell_angle_alpha 90.00
_cell_angle_beta 90.00
_cell_angle_gamma 90.00
loop_
_symmetry_equiv_pos_as_xyz
'x,y,z'
'-x,-y,-z'
'-x+1/2,-y+1/2,z'
'x+1/2,y+1/2,-z'
'x+1/2,-y,-z'
'-x+1/2,y,z'
'-x,y+1/2,-z'
'x,-y+1/2,z'
loop_
_atom_site_label
_atom_site_fract_x
_atom_site_fract_y
_atom_site_fract_z
Ca1 0.2500 0.2500 0.1206
Ni1 0.2500 0.6012 0.4449
S1 0.2500 0.0649 0.4045
S2 0.2500 0.6701 0.1414
S3 0.2500 0.7500 0.5928
```

***

# 2
Structure and calculated X-ray diffraction stick pattern of Ca3Si2Ni3 (a cell relaxed with PBE; CuKα).

The 10 most intense peaks (2θ from 10° to 90°), sorted by position:
2θ (°)	d (Å)	I/Imax	h k l
10.75	8.227	52	1 0 1
13.71	6.457	68	1 0 2
31.44	2.845	100	2 0 5
33.67	2.662	35	0 1 5
38.97	2.311	34	4 0 0
40.01	2.253	91	0 0 8
42.28	2.138	76	3 1 4
42.57	2.124	64	2 1 6
45.00	2.014	54	3 1 5
46.06	1.971	55	0 2 0

```
data_Ca3Si2Ni3
_symmetry_space_group_name_H-M 'P n m a'
_symmetry_Int_Tables_number 62
_cell_length_a 9.2430
_cell_length_b 3.9410
_cell_length_c 18.0501
_cell_angle_alpha 90.00
_cell_angle_beta 90.00
_cell_angle_gamma 90.00
loop_
_symmetry_equiv_pos_as_xyz
'x,y,z'
'-x,-y,-z'
'-x+1/2,-y,z+1/2'
'x+1/2,y,-z+1/2'
'x+1/2,-y+1/2,-z+1/2'
'-x+1/2,y+1/2,z+1/2'
'-x,y+1/2,-z'
'x,-y+1/2,z'
loop_
_atom_site_label
_atom_site_fract_x
_atom_site_fract_y
_atom_site_fract_z
Ca1 0.1078 0.2500 0.0694
Ca2 0.1253 0.2500 0.6823
Ca3 0.1423 0.2500 0.4326
Si1 0.1236 0.2500 0.2503
Si2 0.1259 0.2500 0.8928
Ni1 0.0559 0.7500 0.1916
Ni2 0.1266 0.7500 0.8145
Ni3 0.1919 0.7500 0.3087
```

***

# 3
Structure and calculated X-ray diffraction stick pattern of CaSiNi2 (a cell relaxed with PBE; CuKα).

The 10 most intense peaks (2θ from 10° to 90°), sorted by position:
2θ (°)	d (Å)	I/Imax	h k l
17.94	4.944	83	0 0 2
25.83	3.450	34	1 0 0
36.34	2.472	25	0 0 4
37.75	2.383	100	1 0 3
45.54	1.992	85	1 1 0
49.33	1.847	33	1 1 2
59.61	1.551	33	1 1 4
60.59	1.528	23	2 0 3
72.28	1.307	20	1 0 7
78.97	1.212	19	2 1 3

```
data_CaSiNi2
_symmetry_space_group_name_H-M 'P 63/m m c'
_symmetry_Int_Tables_number 194
_symmetry_space_group_name_Hall '-P 6c 2c'
_cell_length_a 3.9834
_cell_length_b 3.9834
_cell_length_c 9.8875
_cell_angle_alpha 90.00
_cell_angle_beta 90.00
_cell_angle_gamma 120.00
loop_
_atom_site_label
_atom_site_fract_x
_atom_site_fract_y
_atom_site_fract_z
Ca1 0.3333 0.6667 0.2500
Si1 0.0000 0.0000 0.0000
Ni1 0.3333 0.6667 0.5417
```